Record 1
Diffraction record for Dy2Tm12Th. The powder XRD pattern is theoretical, not measured: it uses a structure optimized by DFT (GGA-PBE) and Cu Ka.

Unit cell a=3.5219 b=5.5285 c=23.8081 alpha=90.00 beta=94.24 gamma=90.00
Space group P2/m (No. 10)
Unique sites:
Dy1 0.1414 0.0000 0.2814 (multiplicity 2)
Tm1 0.0353 0.5000 0.0668 (multiplicity 2)
Tm2 0.0686 0.0000 0.1359 (multiplicity 2)
Tm3 0.2230 0.5000 0.4449 (multiplicity 2)
Tm4 0.2878 0.0000 0.5776 (multiplicity 2)
Tm5 0.3340 0.5000 0.6700 (multiplicity 2)
Tm6 0.4022 0.5000 0.8072 (multiplicity 2)
Th1 0.5000 0.0000 0.0000 (multiplicity 1)

Most intense lines, 10° ≤ 2θ ≤ 90°, by angle:
(1 1 1), 2θ 30.6, d 2.919, intensity 27.1
(0 1 7), 2θ 30.9, d 2.891, intensity 65.6
(1 1 -3), 2θ 31.6, d 2.835, intensity 100.0
(0 2 0), 2θ 32.4, d 2.764, intensity 76.4
(1 0 5), 2θ 32.8, d 2.728, intensity 46.4
(0 1 8), 2θ 34.3, d 2.615, intensity 41.8
(1 1 -5), 2θ 34.7, d 2.588, intensity 49.3
(1 2 5), 2θ 46.8, d 1.942, intensity 32.0
(2 0 -1), 2θ 51.9, d 1.761, intensity 20.5
(2 2 -1), 2θ 62.5, d 1.485, intensity 24.8



Record 2
Diffraction record for V2Pd4Au3. The powder XRD pattern is theoretical, not measured: it uses a structure optimized by DFT (GGA-PBE) and Cu Ka.

Unit cell a=9.2175 b=2.8123 c=11.7395 alpha=90.00 beta=111.66 gamma=90.00
Space group C2/m (No. 12)
Unique sites:
V1 0.0507 0.0000 0.2203 (multiplicity 4)
Pd1 0.1801 0.0000 0.6774 (multiplicity 4)
Pd2 0.2156 0.5000 0.8850 (multiplicity 4)
Au1 0.0000 0.5000 0.0000 (multiplicity 2)
Au2 0.1046 0.5000 0.4370 (multiplicity 4)

Most intense lines, 10° ≤ 2θ ≤ 90°, by angle:
(0 0 2), 2θ 16.2, d 5.455, intensity 24.2
(1 1 0), 2θ 33.5, d 2.672, intensity 17.3
(2 0 -5), 2θ 38.8, d 2.322, intensity 51.7
(1 1 2), 2θ 39.2, d 2.297, intensity 100.0
(4 0 -1), 2θ 39.8, d 2.266, intensity 47.7
(2 0 4), 2θ 45.5, d 1.992, intensity 30.9
(3 1 -3), 2θ 45.7, d 1.986, intensity 65.6
(1 1 -7), 2θ 65.8, d 1.419, intensity 20.6
(5 1 1), 2θ 67.2, d 1.393, intensity 19.1
(7 1 -4), 2θ 80.9, d 1.189, intensity 17.1



Record 3
Diffraction record for TlGaPdPtSe. The powder XRD pattern is theoretical, not measured: it uses a structure optimized by DFT (GGA-PBE) and Cu Ka.

Unit cell a=5.5763 b=3.8608 c=5.5910 alpha=90.00 beta=119.14 gamma=90.00
Space group Pm (No. 6)
Unique sites:
Tl1 0.0000 0.0000 0.0000 (multiplicity 1)
Ga1 0.6390 0.5000 0.3360 (multiplicity 1)
Pd1 0.9920 0.0000 0.4982 (multiplicity 1)
Pt1 0.5018 0.0000 0.0029 (multiplicity 1)
Se1 0.3757 0.5000 0.6197 (multiplicity 1)

Most intense lines, 10° ≤ 2θ ≤ 90°, by angle:
(0 0 1), 2θ 18.2, d 4.883, intensity 27.6
(0 1 0), 2θ 23.0, d 3.861, intensity 57.2
(0 1 1), 2θ 29.5, d 3.028, intensity 100.0
(2 0 -1), 2θ 32.1, d 2.790, intensity 47.5
(0 0 2), 2θ 36.8, d 2.442, intensity 32.2
(2 0 0), 2θ 36.9, d 2.435, intensity 34.2
(0 1 2), 2θ 43.9, d 2.062, intensity 96.2
(2 1 -2), 2θ 44.3, d 2.043, intensity 70.2
(0 2 0), 2θ 47.1, d 1.930, intensity 30.9
(2 2 0), 2θ 61.2, d 1.514, intensity 30.7



Record 4
Diffraction record for CaLaS2. The powder XRD pattern is theoretical, not measured: it uses a structure optimized by DFT (GGA-PBE) and Cu Ka.

Unit cell a=4.0448 b=4.0448 c=13.8765 alpha=90.00 beta=90.00 gamma=120.00
Space group P6_3/mmc (No. 194)
Unique sites:
Ca1 0.3333 0.6667 0.2500 (multiplicity 2)
La1 0.0000 0.0000 0.0000 (multiplicity 2)
S1 0.3333 0.6667 0.6269 (multiplicity 4)

Most intense lines, 10° ≤ 2θ ≤ 90°, by angle:
(0 0 2), 2θ 12.8, d 6.938, intensity 34.8
(1 0 0), 2θ 25.4, d 3.503, intensity 17.0
(1 0 2), 2θ 28.5, d 3.127, intensity 100.0
(1 0 3), 2θ 32.1, d 2.793, intensity 17.1
(1 0 4), 2θ 36.5, d 2.465, intensity 45.4
(1 1 0), 2θ 44.8, d 2.022, intensity 33.3
(1 0 6), 2θ 47.1, d 1.930, intensity 23.9
(2 0 2), 2θ 54.0, d 1.698, intensity 16.4
(1 1 8), 2θ 71.7, d 1.317, intensity 15.6
(2 1 2), 2θ 72.7, d 1.301, intensity 13.3



Record 5
Diffraction record for Pr2Cu3Pt. The powder XRD pattern is theoretical, not measured: it uses a structure optimized by DFT (GGA-PBE) and Cu Ka.

Unit cell a=7.6466 b=8.6790 c=15.0637 alpha=90.00 beta=90.00 gamma=90.00
Space group Fmmm (No. 69)
Unique sites:
Pr1 0.2471 0.0000 0.0000 (multiplicity 8)
Pr2 0.2500 0.2500 0.2500 (multiplicity 8)
Cu1 0.0000 0.0000 0.3370 (multiplicity 8)
Cu2 0.0000 0.2434 0.4188 (multiplicity 16)
Pt1 0.0000 0.0000 0.1663 (multiplicity 8)

Most intense lines, 10° ≤ 2θ ≤ 90°, by angle:
(1 1 3), 2θ 23.6, d 3.777, intensity 10.9
(2 0 4), 2θ 33.4, d 2.682, intensity 100.0
(0 4 0), 2θ 41.6, d 2.172, intensity 54.4
(4 0 0), 2θ 47.6, d 1.912, intensity 12.3
(2 4 4), 2θ 54.4, d 1.688, intensity 24.6
(4 4 0), 2θ 65.0, d 1.435, intensity 28.2
(2 2 10), 2θ 70.6, d 1.333, intensity 14.7
(2 6 2), 2θ 70.8, d 1.332, intensity 7.7
(0 6 6), 2θ 75.9, d 1.253, intensity 5.9
(6 0 4), 2θ 79.4, d 1.207, intensity 8.0



Record 6
Diffraction record for RbPrIO6. The powder XRD pattern is theoretical, not measured: it uses a structure optimized by DFT (GGA-PBE) and Cu Ka.

Unit cell a=5.9464 b=5.9464 c=6.0114 alpha=90.00 beta=90.00 gamma=120.00
Space group P312 (No. 149)
Unique sites:
Rb1 0.0000 0.0000 0.0000 (multiplicity 1)
Pr1 0.3333 0.6667 0.5000 (multiplicity 1)
I1 0.6667 0.3333 0.5000 (multiplicity 1)
O1 0.4150 0.0617 0.6811 (multiplicity 6)

Most intense lines, 10° ≤ 2θ ≤ 90°, by angle:
(0 0 1), 2θ 14.7, d 6.011, intensity 45.1
(1 0 1), 2θ 22.7, d 3.911, intensity 100.0
(0 0 2), 2θ 29.7, d 3.006, intensity 13.3
(1 1 0), 2θ 30.1, d 2.973, intensity 46.6
(2 -1 1), 2θ 33.6, d 2.665, intensity 21.8
(2 0 1), 2θ 38.0, d 2.367, intensity 21.7
(2 -1 2), 2θ 42.8, d 2.114, intensity 51.4
(3 -1 1), 2θ 49.2, d 1.852, intensity 23.6
(3 0 0), 2θ 53.4, d 1.717, intensity 14.2
(3 0 2), 2θ 62.3, d 1.491, intensity 12.6



Record 7
Diffraction record for MgTlGeTe3. The powder XRD pattern is theoretical, not measured: it uses a structure optimized by DFT (GGA-PBE) and Cu Ka.

Unit cell a=9.3293 b=4.1471 c=10.5199 alpha=90.00 beta=104.67 gamma=90.00
Space group P2_1/m (No. 11)
Unique sites:
Mg1 0.0876 0.2500 0.1148 (multiplicity 2)
Tl1 0.1979 0.2500 0.7369 (multiplicity 2)
Ge1 0.3395 0.7500 0.4022 (multiplicity 2)
Te1 0.1159 0.2500 0.3879 (multiplicity 2)
Te2 0.2238 0.7500 0.0126 (multiplicity 2)
Te3 0.4670 0.7500 0.6671 (multiplicity 2)

Most intense lines, 10° ≤ 2θ ≤ 90°, by angle:
(1 0 1), 2θ 14.7, d 6.036, intensity 23.1
(1 0 -3), 2θ 25.6, d 3.479, intensity 22.9
(0 0 3), 2θ 26.3, d 3.392, intensity 33.1
(1 1 -2), 2θ 27.9, d 3.194, intensity 39.8
(2 1 -1), 2θ 29.1, d 3.073, intensity 100.0
(2 1 0), 2θ 29.2, d 3.054, intensity 45.6
(1 0 3), 2θ 30.4, d 2.939, intensity 32.1
(1 1 2), 2θ 31.0, d 2.886, intensity 28.6
(0 2 0), 2θ 43.7, d 2.074, intensity 28.9
(3 1 2), 2θ 44.4, d 2.040, intensity 27.8